Diffraction record for DyTaCo10. The powder X-ray diffraction pattern is calculated, not measured: it uses a structure optimized by DFT (GGA-PBE) and copper Kα.

Most intense lines, 2θ = 10–80°, low angle first:
2theta	intensity	h k l
31.2	61	1 1 1
37.7	33	0 2 0
43.9	23	0 2 2
44.3	100	1 2 0
45.6	28	2 0 0
65.1	21	2 0 4

Crystal structure
abc: 3.975 4.760 8.272
angles: 90.00 90.00 90.00
Element x y z (fractional)
Dy: 0.000 0.000 0.000
Ta: 0.000 0.500 0.500
Co: 0.000 0.000 0.346
Co: 0.000 0.000 0.654
Co: 0.000 0.500 0.183
Co: 0.000 0.500 0.817
Co: 0.500 0.000 0.500
Co: 0.500 0.256 0.260
Co: 0.500 0.256 0.740
Co: 0.500 0.500 0.000
Co: 0.500 0.744 0.260
Co: 0.500 0.744 0.740